No. 1
# Ca8TiMn7O20
Theoretical powder X-ray diffraction pattern, CuKα. Input: a cell relaxed with PBE+U.
Neutral-atom scattering factors, no anomalous dispersion.

Peak list (12 most intense, 10 to 80 degrees two-theta, by intensity)
d/Å, Rel. int.
2.738, 1000
2.748, 754
1.924, 564
2.709, 239
1.581, 183
1.590, 172
1.956, 163
3.911, 131
1.568, 128
1.573, 122
1.579, 122
3.848, 115

Atomic structure:
```
data_Ca8TiMn7O20
_chemical_formula_sum 'Ca8 Ti1 Mn7 O20'
_cell_length_a 7.697
_cell_length_b 7.697
_cell_length_c 7.822
_cell_angle_alpha 90.18
_cell_angle_beta 90.18
_cell_angle_gamma 90.52
_symmetry_space_group_name_H-M 'P 1'
_symmetry_Int_Tables_number 1
_symmetry_space_group_name_Hall 'P 1'
loop_
_atom_site_label
_atom_site_type_symbol
_atom_site_fract_x
_atom_site_fract_y
_atom_site_fract_z
_atom_site_occupancy
Ca1 Ca 0.000 0.000 0.000 1
Ca2 Ca 0.001 0.001 0.466 1
Ca3 Ca 0.018 0.465 0.980 1
Ca4 Ca 0.465 0.018 0.980 1
Ca5 Ca 0.481 0.481 0.969 1
Ca6 Ca 0.497 0.986 0.444 1
Ca7 Ca 0.509 0.509 0.409 1
Ca8 Ca 0.986 0.497 0.444 1
Ti1 Ti 0.743 0.743 0.681 1
Mn1 Mn 0.241 0.241 0.231 1
Mn2 Mn 0.243 0.750 0.201 1
Mn3 Mn 0.249 0.249 0.721 1
Mn4 Mn 0.251 0.755 0.708 1
Mn5 Mn 0.746 0.746 0.181 1
Mn6 Mn 0.750 0.243 0.201 1
Mn7 Mn 0.755 0.251 0.708 1
O1 O 0.004 0.260 0.643 1
O2 O 0.214 0.214 0.976 1
O3 O 0.238 0.811 0.952 1
O4 O 0.245 0.496 0.234 1
O5 O 0.245 0.995 0.272 1
O6 O 0.248 0.505 0.767 1
O7 O 0.260 0.004 0.643 1
O8 O 0.494 0.735 0.600 1
O9 O 0.494 0.745 0.208 1
O10 O 0.496 0.245 0.234 1
O11 O 0.505 0.248 0.767 1
O12 O 0.735 0.494 0.600 1
O13 O 0.735 0.735 0.912 1
O14 O 0.740 0.987 0.623 1
O15 O 0.745 0.494 0.208 1
O16 O 0.746 0.995 0.221 1
O17 O 0.811 0.238 0.952 1
O18 O 0.987 0.740 0.623 1
O19 O 0.995 0.245 0.272 1
O20 O 0.995 0.746 0.221 1
```

---

No. 2
# Ba2NiF6
Theoretical powder X-ray diffraction pattern, CuKα. Input: a cell relaxed with PBE+U.
Neutral-atom scattering factors, no anomalous dispersion.

Peak list (12 most intense, 10 to 80 degrees two-theta, by intensity)
d/Å, Rel. int.
3.304, 1000
2.922, 352
2.066, 348
2.384, 323
1.752, 321
2.003, 216
1.460, 142
2.751, 139
1.652, 129
1.676, 111
1.302, 92
2.048, 80

Atomic structure:
```
data_Ba2NiF6
_chemical_formula_sum 'Ba2 Ni1 F6'
_cell_length_a 8.755
_cell_length_b 8.755
_cell_length_c 8.755
_cell_angle_alpha 152.70
_cell_angle_beta 152.70
_cell_angle_gamma 38.99
_symmetry_space_group_name_H-M 'P 1'
_symmetry_Int_Tables_number 1
_symmetry_space_group_name_Hall 'P 1'
loop_
_atom_site_label
_atom_site_type_symbol
_atom_site_fract_x
_atom_site_fract_y
_atom_site_fract_z
_atom_site_occupancy
Ba1 Ba 0.151 0.151 0.000 1
Ba2 Ba 0.849 0.849 0.000 1
Ni1 Ni 0.500 0.500 0.000 1
F1 F 0.000 0.500 0.500 1
F2 F 0.250 0.750 0.500 1
F3 F 0.381 0.381 0.000 1
F4 F 0.500 0.000 0.500 1
F5 F 0.619 0.619 0.000 1
F6 F 0.750 0.250 0.500 1
```

---

No. 3
# SrEuW4O12
Theoretical powder X-ray diffraction pattern, CuKα. Input: a cell relaxed with PBE+U.
Neutral-atom scattering factors, no anomalous dispersion.

Peak list (12 most intense, 10 to 80 degrees two-theta, by intensity)
d/Å, Rel. int.
2.824, 1000
2.799, 490
3.958, 446
1.621, 410
1.979, 289
4.598, 247
4.030, 235
1.635, 210
1.412, 183
2.015, 155
1.796, 98
1.770, 94

Atomic structure:
```
data_SrEuW4O12
_chemical_formula_sum 'Sr1 Eu1 W4 O12'
_cell_length_a 8.060
_cell_length_b 5.598
_cell_length_c 5.598
_cell_angle_alpha 89.97
_cell_angle_beta 90.00
_cell_angle_gamma 90.00
_symmetry_space_group_name_H-M 'P 1'
_symmetry_Int_Tables_number 1
_symmetry_space_group_name_Hall 'P 1'
loop_
_atom_site_label
_atom_site_type_symbol
_atom_site_fract_x
_atom_site_fract_y
_atom_site_fract_z
_atom_site_occupancy
Sr1 Sr 0.000 0.000 0.000 1
Eu1 Eu 0.500 0.494 0.494 1
W1 W 0.250 0.496 0.995 1
W2 W 0.250 0.995 0.496 1
W3 W 0.750 0.496 0.995 1
W4 W 0.750 0.995 0.496 1
O1 O 0.000 0.011 0.463 1
O2 O 0.000 0.463 0.011 1
O3 O 0.229 0.762 0.762 1
O4 O 0.254 0.272 0.719 1
O5 O 0.254 0.719 0.272 1
O6 O 0.272 0.234 0.234 1
O7 O 0.500 0.520 0.969 1
O8 O 0.500 0.969 0.520 1
O9 O 0.728 0.234 0.234 1
O10 O 0.746 0.272 0.719 1
O11 O 0.746 0.719 0.272 1
O12 O 0.771 0.762 0.762 1
```

---

No. 4
# Ho2CuW4O16
Theoretical powder X-ray diffraction pattern, CuKα. Input: a cell relaxed with PBE+U.
Neutral-atom scattering factors, no anomalous dispersion.

Peak list (12 most intense, 10 to 80 degrees two-theta, by intensity)
d/Å, Rel. int.
3.103, 1000
3.204, 982
3.717, 788
2.552, 443
2.973, 381
1.760, 300
2.468, 245
1.756, 243
1.792, 234
3.573, 220
1.857, 198
2.823, 151

Atomic structure:
```
data_Ho2CuW4O16
_chemical_formula_sum 'Ho4 Cu2 W8 O32'
_cell_length_a 10.126
_cell_length_b 10.126
_cell_length_c 11.294
_cell_angle_alpha 109.68
_cell_angle_beta 109.68
_cell_angle_gamma 32.40
_symmetry_space_group_name_H-M 'P 1'
_symmetry_Int_Tables_number 1
_symmetry_space_group_name_Hall 'P 1'
loop_
_atom_site_label
_atom_site_type_symbol
_atom_site_fract_x
_atom_site_fract_y
_atom_site_fract_z
_atom_site_occupancy
Ho1 Ho 0.019 0.682 0.544 1
Ho2 Ho 0.318 0.981 0.956 1
Ho3 Ho 0.682 0.019 0.044 1
Ho4 Ho 0.981 0.318 0.456 1
Cu1 Cu 0.153 0.847 0.250 1
Cu2 Cu 0.847 0.153 0.750 1
W1 W 0.189 0.435 0.214 1
W2 W 0.256 0.632 0.908 1
W3 W 0.368 0.744 0.592 1
W4 W 0.435 0.189 0.714 1
W5 W 0.565 0.811 0.286 1
W6 W 0.632 0.256 0.408 1
W7 W 0.744 0.368 0.092 1
W8 W 0.811 0.565 0.786 1
O1 O 0.023 0.215 0.074 1
O2 O 0.028 0.714 0.175 1
O3 O 0.085 0.423 0.764 1
O4 O 0.106 0.867 0.621 1
O5 O 0.133 0.894 0.879 1
O6 O 0.215 0.023 0.574 1
O7 O 0.243 0.291 0.554 1
O8 O 0.260 0.525 0.728 1
O9 O 0.278 0.460 0.398 1
O10 O 0.286 0.972 0.325 1
O11 O 0.291 0.243 0.054 1
O12 O 0.373 0.605 0.089 1
O13 O 0.395 0.627 0.411 1
O14 O 0.423 0.085 0.264 1
O15 O 0.460 0.278 0.898 1
O16 O 0.475 0.740 0.772 1
O17 O 0.525 0.260 0.228 1
O18 O 0.540 0.722 0.102 1
O19 O 0.577 0.915 0.736 1
O20 O 0.605 0.373 0.589 1
O21 O 0.627 0.395 0.911 1
O22 O 0.709 0.757 0.946 1
O23 O 0.714 0.028 0.675 1
O24 O 0.722 0.540 0.602 1
O25 O 0.740 0.475 0.272 1
O26 O 0.757 0.709 0.446 1
O27 O 0.785 0.977 0.426 1
O28 O 0.867 0.106 0.121 1
O29 O 0.894 0.133 0.379 1
O30 O 0.915 0.577 0.236 1
O31 O 0.972 0.286 0.825 1
O32 O 0.977 0.785 0.926 1
```

---

No. 5
# Np2CoH8F10
Theoretical powder X-ray diffraction pattern, CuKα. Input: a cell relaxed with PBE+U.
Neutral-atom scattering factors, no anomalous dispersion.

Peak list (12 most intense, 10 to 80 degrees two-theta, by intensity)
d/Å, Rel. int.
5.301, 1000
3.808, 691
3.226, 620
3.960, 590
3.133, 514
3.044, 503
3.588, 434
5.410, 429
1.970, 353
4.299, 350
4.218, 329
1.793, 318

Atomic structure:
```
data_Np2CoH8F10
_chemical_formula_sum 'Np4 Co2 H16 F20'
_cell_length_a 10.703
_cell_length_b 6.961
_cell_length_c 8.679
_cell_angle_alpha 90.00
_cell_angle_beta 97.83
_cell_angle_gamma 90.00
_symmetry_space_group_name_H-M 'P 1'
_symmetry_Int_Tables_number 1
_symmetry_space_group_name_Hall 'P 1'
loop_
_atom_site_label
_atom_site_type_symbol
_atom_site_fract_x
_atom_site_fract_y
_atom_site_fract_z
_atom_site_occupancy
Np1 Np 0.058 0.135 0.195 1
Np2 Np 0.058 0.365 0.695 1
Np3 Np 0.942 0.635 0.305 1
Np4 Np 0.942 0.865 0.805 1
Co1 Co 0.500 0.000 0.000 1
Co2 Co 0.500 0.500 0.500 1
H1 H 0.305 0.572 0.038 1
H2 H 0.305 0.928 0.538 1
H3 H 0.358 0.025 0.023 1
H4 H 0.358 0.475 0.523 1
H5 H 0.372 0.602 0.520 1
H6 H 0.372 0.898 0.020 1
H7 H 0.472 0.215 0.011 1
H8 H 0.472 0.285 0.511 1
H9 H 0.528 0.715 0.489 1
H10 H 0.528 0.785 0.989 1
H11 H 0.628 0.102 0.980 1
H12 H 0.628 0.398 0.480 1
H13 H 0.642 0.525 0.477 1
H14 H 0.642 0.975 0.977 1
H15 H 0.695 0.072 0.462 1
H16 H 0.695 0.428 0.962 1
F1 F 0.083 0.197 0.439 1
F2 F 0.083 0.303 0.939 1
F3 F 0.100 0.032 0.723 1
F4 F 0.100 0.468 0.223 1
F5 F 0.104 0.570 0.510 1
F6 F 0.104 0.930 0.010 1
F7 F 0.114 0.654 0.800 1
F8 F 0.114 0.846 0.300 1
F9 F 0.249 0.163 0.211 1
F10 F 0.249 0.337 0.711 1
F11 F 0.751 0.663 0.289 1
F12 F 0.751 0.837 0.789 1
F13 F 0.886 0.154 0.700 1
F14 F 0.886 0.346 0.200 1
F15 F 0.896 0.070 0.990 1
F16 F 0.896 0.430 0.490 1
F17 F 0.900 0.532 0.777 1
F18 F 0.900 0.968 0.277 1
F19 F 0.917 0.697 0.061 1
F20 F 0.917 0.803 0.561 1
```